[1]
# Ba2ErZnO5
Theoretical XRD peak list, Cu Ka. Input: a PBE-relaxed structure.
Lines closer than 0.1° are merged.

Cell and atoms:
```
Ba2ErZnO5
1.0
1.7778 -7.6606 0.0000
1.7778 7.6606 0.0000
0.0000 0.0000 11.1043
Ba Er Zn O
4 2 2 10
direct
0.1105 0.8895 0.5000
0.1312 0.8688 0.1378
0.8688 0.1312 0.6378
0.8895 0.1105 0.0000
0.2026 0.7974 0.8387
0.7974 0.2026 0.3387
0.4530 0.5470 0.2660
0.5470 0.4530 0.7660
0.0464 0.9536 0.8449
0.2926 0.7074 0.4685
0.3207 0.6793 0.2083
0.3430 0.6570 0.8218
0.4980 0.5020 0.6063
0.5020 0.4980 0.1063
0.6570 0.3430 0.3218
0.6793 0.3207 0.7083
0.7074 0.2926 0.9685
0.9536 0.0464 0.3449
```

Main lines, low angle first (5 to 70 degrees two-theta):
Position (°2θ)  intensity
19.75  21
26.75  92
28.31  34
30.42  21
30.64  52
31.71  47
35.50  100
36.09  49
42.20  42
51.36  36
51.73  29
58.88  21

***

[2]
# Ba2ErPbSe5
Theoretical XRD peak list, Cu Ka. Input: a PBE-relaxed structure.
Lines closer than 0.1° are merged.

Cell and atoms:
```
Ba2ErPbSe5
1.0
2.1969 -9.3583 0.0000
2.1969 9.3583 0.0000
0.0000 0.0000 13.6421
Ba Er Pb Se
4 2 2 10
direct
0.1143 0.8857 0.5000
0.1415 0.8585 0.1254
0.8585 0.1415 0.6254
0.8857 0.1143 0.0000
0.2110 0.7890 0.8333
0.7890 0.2110 0.3333
0.4661 0.5339 0.2679
0.5339 0.4661 0.7679
0.0566 0.9434 0.8926
0.2857 0.7143 0.4685
0.3170 0.6830 0.1929
0.3596 0.6404 0.8151
0.4887 0.5113 0.5739
0.5113 0.4887 0.0739
0.6404 0.3596 0.3151
0.6830 0.3170 0.6929
0.7143 0.2857 0.9685
0.9434 0.0566 0.3926
```

Main lines, low angle first (5 to 70 degrees two-theta):
Position (°2θ)  intensity
21.73  21
24.56  45
24.78  25
28.65  100
29.37  73
33.61  21
34.10  20
37.24  29
40.82  20
41.09  38
41.70  19
51.30  31

***

[3]
# Ba3PmEr3Te8
Theoretical XRD peak list, Cu Ka. Input: a PBE-relaxed structure.
Lines closer than 0.1° are merged.

Cell and atoms:
```
Ba3PmEr3Te8
1.0
4.4909 2.5928 7.9526
-4.4909 2.5928 7.9526
0.0000 -5.1857 7.9526
Ba Pm Er Te
3 1 3 8
direct
0.0000 0.5000 0.5000
0.5000 0.0000 0.5000
0.5000 0.5000 0.0000
0.5000 0.5000 0.5000
0.0000 0.0000 0.5000
0.0000 0.5000 0.0000
0.5000 0.0000 0.0000
0.2267 0.7459 0.7459
0.2378 0.2378 0.2378
0.2541 0.2541 0.7733
0.2541 0.7733 0.2541
0.7459 0.2267 0.7459
0.7459 0.7459 0.2267
0.7622 0.7622 0.7622
0.7733 0.2541 0.2541
```

Main lines, low angle first (5 to 70 degrees two-theta):
Position (°2θ)  intensity
11.13  13
27.38  100
35.01  7
38.02  37
40.16  37
45.63  6
48.03  5
49.29  19
56.49  12
62.38  14
65.38  16
67.24  4

***

[4]
# Ba2ErSe3
Theoretical XRD peak list, Cu Ka. Input: a PBE-relaxed structure.
Lines closer than 0.1° are merged.

Cell and atoms:
```
Ba2ErSe3
1.0
4.4085 0.0000 0.0000
0.0000 5.3956 0.0000
0.0000 0.0000 17.2838
Ba Er Se
4 2 6
direct
0.0000 0.0000 0.1488
0.0000 0.0000 0.8512
0.5000 0.5000 0.3512
0.5000 0.5000 0.6488
0.0000 0.0000 0.5000
0.5000 0.5000 0.0000
0.0000 0.0000 0.3378
0.0000 0.0000 0.6622
0.0000 0.5000 0.5000
0.5000 0.0000 0.0000
0.5000 0.5000 0.1622
0.5000 0.5000 0.8378
```

Main lines, low angle first (5 to 70 degrees two-theta):
Position (°2θ)  intensity
25.44  46
26.10  100
31.05  46
32.93  21
33.21  46
33.45  21
40.98  72
42.29  25
46.10  30
52.26  21
53.70  23
63.33  23

***

[5]
# BaTbEr4Se8
Theoretical XRD peak list, Cu Ka. Input: a PBE-relaxed structure.
Lines closer than 0.1° are merged.

Cell and atoms:
```
BaTbEr4Se8
1.0
4.2730 2.4670 7.0272
-4.2730 2.4670 7.0272
0.0000 -4.9341 7.0272
Ba Tb Er Se
1 1 4 8
direct
0.0000 0.0000 0.0000
0.3717 0.3717 0.3717
0.3722 0.3722 0.8783
0.3722 0.8783 0.3722
0.7484 0.7484 0.7484
0.8783 0.3722 0.3722
0.1389 0.1389 0.5716
0.1389 0.5716 0.1389
0.1419 0.1419 0.1419
0.1440 0.6183 0.6183
0.5716 0.1389 0.1389
0.6164 0.6164 0.6164
0.6183 0.1440 0.6183
0.6183 0.6183 0.1440
```

Main lines, low angle first (5 to 70 degrees two-theta):
Position (°2θ)  intensity
12.65  28
20.74  38
24.35  100
24.42  34
29.49  74
38.59  57
38.68  23
42.10  69
42.30  70
49.40  16
58.64  16
61.21  21

***

[6]
# Ba3YEr3Se8
Theoretical XRD peak list, Cu Ka. Input: a PBE-relaxed structure.
Lines closer than 0.1° are merged.

Cell and atoms:
```
Ba3YEr3Se8
1.0
4.1883 2.4181 7.5209
-4.1883 2.4181 7.5209
0.0000 -4.8362 7.5209
Ba Y Er Se
3 1 3 8
direct
0.0000 0.5000 0.5000
0.5000 0.0000 0.5000
0.5000 0.5000 0.0000
0.5000 0.5000 0.5000
0.0000 0.0000 0.5000
0.0000 0.5000 0.0000
0.5000 0.0000 0.0000
0.2318 0.7391 0.7391
0.2367 0.2367 0.2367
0.2609 0.2609 0.7682
0.2609 0.7682 0.2609
0.7391 0.2318 0.7391
0.7391 0.7391 0.2318
0.7633 0.7633 0.7633
0.7682 0.2609 0.2609
```

Main lines, low angle first (5 to 70 degrees two-theta):
Position (°2θ)  intensity
11.77  14
14.52  9
19.94  4
25.80  7
29.27  100
37.32  6
40.52  36
43.20  36
48.41  6
53.04  19
60.71  11
66.88  13

***

[7]
# Ba3Eu
Theoretical XRD peak list, Cu Ka. Input: a PBE-relaxed structure.
Lines closer than 0.1° are merged.

Cell and atoms:
```
Ba3Eu
1.0
6.1790 0.0000 0.0000
0.0000 6.1790 0.0000
0.0000 0.0000 6.1790
Ba Eu
3 1
direct
0.0000 0.0000 0.5000
0.0000 0.5000 0.0000
0.5000 0.0000 0.0000
0.5000 0.5000 0.5000
```

Main lines, low angle first (5 to 70 degrees two-theta):
Position (°2θ)  intensity
24.96  100
28.90  52
41.33  39
48.89  48
51.21  14
59.88  7
65.89  20
67.83  18

***

[8]
# Ba3Eu
Theoretical XRD peak list, Cu Ka. Input: a PBE-relaxed structure.
Lines closer than 0.1° are merged.

Cell and atoms:
```
Ba3Eu
1.0
9.7681 0.0000 0.0000
0.0000 9.7681 0.0000
0.0000 0.0000 9.7681
Ba Eu
12 4
direct
0.0000 0.0000 0.0000
0.0000 0.5000 0.5000
0.2500 0.2500 0.2500
0.2500 0.2500 0.7500
0.2500 0.7500 0.2500
0.2500 0.7500 0.7500
0.5000 0.0000 0.5000
0.5000 0.5000 0.0000
0.7500 0.2500 0.2500
0.7500 0.2500 0.7500
0.7500 0.7500 0.2500
0.7500 0.7500 0.7500
0.0000 0.0000 0.5000
0.0000 0.5000 0.0000
0.5000 0.0000 0.0000
0.5000 0.5000 0.5000
```

Main lines, low angle first (5 to 70 degrees two-theta):
Position (°2θ)  intensity
25.80  100
36.80  20
45.49  43
53.03  14
59.89  19
66.29  5

***

[9]
# BaEuF2
Theoretical XRD peak list, Cu Ka. Input: a PBE-relaxed structure.
Lines closer than 0.1° are merged.

Cell and atoms:
```
BaEuF2
1.0
4.2115 0.0000 0.0000
-2.1057 3.6473 0.0000
0.0000 0.0000 20.9660
Ba Eu F
3 3 6
direct
0.0000 0.0000 0.0000
0.3333 0.6667 0.6667
0.6667 0.3333 0.3333
0.0000 0.0000 0.5000
0.3333 0.6667 0.1667
0.6667 0.3333 0.8333
0.0000 0.0000 0.1285
0.0000 0.0000 0.8715
0.3333 0.6667 0.5382
0.3333 0.6667 0.7952
0.6667 0.3333 0.2048
0.6667 0.3333 0.4618
```

Main lines, low angle first (5 to 70 degrees two-theta):
Position (°2θ)  intensity
25.49  36
25.86  100
29.84  52
42.47  34
42.95  33
50.19  16
50.61  33
50.82  16
53.18  11
62.00  11
68.67  13
69.97  10